# 1
HfBPO: computed X-ray powder pattern (Cu Kα X-rays), based on a PBE-relaxed structure.
Peak positions follow from Bragg's law for the DFT cell and can differ from measured ones.

Cell lengths 5.2971, 3.1866, 6.5126 Å; angles 90.00, 90.00, 90.00 degrees
Positions (direct):
Hf 0.2500 0.0000 0.1417
Hf 0.7500 0.0000 0.8583
B 0.2500 0.5000 0.5808
B 0.7500 0.5000 0.4192
P 0.2500 0.0000 0.7455
P 0.7500 0.0000 0.2545
O 0.2500 0.5000 0.3714
O 0.7500 0.5000 0.6286

Peak list (12 most intense, 15 to 90 degrees two-theta, sorted by position)
2θ = 21.63°, I 100
2θ = 28.00°, I 69
2θ = 31.25°, I 53
2θ = 32.27°, I 79
2θ = 33.84°, I 70
2θ = 35.65°, I 43
2θ = 43.24°, I 89
2θ = 44.48°, I 41
2θ = 46.73°, I 34
2θ = 50.90°, I 23
2θ = 62.53°, I 36
2θ = 67.07°, I 24


# 2
Hf4B3Pb: computed X-ray powder pattern (Cu Kα X-rays), based on a PBE-relaxed structure.
Peak positions follow from Bragg's law for the DFT cell and can differ from measured ones.

Cell lengths 3.4350, 3.4350, 26.3286 Å; angles 90.00, 90.00, 120.00 degrees
Positions (direct):
Hf 0.0000 0.0000 0.1531
Hf 0.0000 0.0000 0.3469
Hf 0.0000 0.0000 0.6531
Hf 0.0000 0.0000 0.8469
Hf 0.3333 0.6667 0.0543
Hf 0.3333 0.6667 0.4457
Hf 0.6667 0.3333 0.5543
Hf 0.6667 0.3333 0.9457
B 0.0000 0.0000 0.0000
B 0.0000 0.0000 0.5000
B 0.3333 0.6667 0.6077
B 0.3333 0.6667 0.8923
B 0.6667 0.3333 0.1077
B 0.6667 0.3333 0.3923
Pb 0.3333 0.6667 0.2500
Pb 0.6667 0.3333 0.7500

Peak list (12 most intense, 15 to 90 degrees two-theta, sorted by position)
2θ = 30.23°, I 45
2θ = 33.04°, I 74
2θ = 34.05°, I 56
2θ = 34.63°, I 100
2θ = 36.49°, I 94
2θ = 48.84°, I 22
2θ = 53.34°, I 55
2θ = 61.32°, I 17
2θ = 64.79°, I 76
2θ = 65.17°, I 16
2θ = 66.36°, I 17
2θ = 89.03°, I 15


# 3
PmHfB4: computed X-ray powder pattern (Cu Kα X-rays), based on a PBE-relaxed structure.
Peak positions follow from Bragg's law for the DFT cell and can differ from measured ones.

Cell lengths 3.2419, 5.6494, 7.5414 Å; angles 90.00, 90.00, 90.00 degrees
Positions (direct):
Pm 0.0000 0.0000 0.0000
Pm 0.5000 0.5000 0.5000
Hf 0.0000 0.0000 0.5000
Hf 0.5000 0.5000 0.0000
B 0.0000 0.3341 0.2466
B 0.0000 0.3341 0.7534
B 0.0000 0.6659 0.2466
B 0.0000 0.6659 0.7534
B 0.5000 0.1659 0.2534
B 0.5000 0.1659 0.7466
B 0.5000 0.8341 0.2534
B 0.5000 0.8341 0.7466

Peak list (12 most intense, 15 to 90 degrees two-theta, sorted by position)
2θ = 23.59°, I 70
2θ = 31.68°, I 38
2θ = 31.83°, I 76
2θ = 39.88°, I 50
2θ = 40.00°, I 100
2θ = 48.27°, I 16
2θ = 56.51°, I 20
2θ = 58.95°, I 41
2θ = 62.09°, I 21
2θ = 71.64°, I 18
2θ = 77.45°, I 16
2θ = 84.39°, I 18


# 4
PmHfB4: computed X-ray powder pattern (Cu Kα X-rays), based on a PBE-relaxed structure.
Peak positions follow from Bragg's law for the DFT cell and can differ from measured ones.

Cell lengths 3.2161, 3.2161, 7.6189 Å; angles 90.00, 90.00, 120.00 degrees
Positions (direct):
Pm 0.0000 0.0000 0.0000
Hf 0.0000 0.0000 0.5000
B 0.3333 0.6667 0.2767
B 0.3333 0.6667 0.7233
B 0.6667 0.3333 0.2767
B 0.6667 0.3333 0.7233

Peak list (12 most intense, 15 to 90 degrees two-theta, sorted by position)
2θ = 23.35°, I 49
2θ = 32.14°, I 75
2θ = 40.10°, I 100
2θ = 47.75°, I 11
2θ = 57.29°, I 19
2θ = 58.72°, I 29
2θ = 62.71°, I 21
2θ = 67.23°, I 9
2θ = 72.23°, I 18
2θ = 77.72°, I 15
2θ = 83.71°, I 12
2θ = 86.59°, I 10


# 5
Hf3B2S: computed X-ray powder pattern (Cu Kα X-rays), based on a PBE-relaxed structure.
Peak positions follow from Bragg's law for the DFT cell and can differ from measured ones.

Cell lengths 3.4547, 3.4547, 17.7231 Å; angles 90.00, 90.00, 120.00 degrees
Positions (direct):
Hf 0.0000 0.0000 0.0000
Hf 0.0000 0.0000 0.5000
Hf 0.3333 0.6667 0.1499
Hf 0.3333 0.6667 0.3501
Hf 0.6667 0.3333 0.6499
Hf 0.6667 0.3333 0.8501
B 0.3333 0.6667 0.5802
B 0.3333 0.6667 0.9198
B 0.6667 0.3333 0.0802
B 0.6667 0.3333 0.4198
S 0.0000 0.0000 0.2500
S 0.0000 0.0000 0.7500

Peak list (12 most intense, 15 to 90 degrees two-theta, sorted by position)
2θ = 30.28°, I 100
2θ = 31.56°, I 39
2θ = 36.23°, I 92
2θ = 39.41°, I 57
2θ = 53.01°, I 41
2θ = 55.90°, I 14
2θ = 60.74°, I 17
2θ = 62.27°, I 36
2θ = 65.88°, I 23
2θ = 68.02°, I 11
2θ = 86.78°, I 12
2θ = 89.42°, I 18


# 6
HfBSb2: computed X-ray powder pattern (Cu Kα X-rays), based on a PBE-relaxed structure.
Peak positions follow from Bragg's law for the DFT cell and can differ from measured ones.

Cell lengths 6.9370, 6.9370, 6.9370 Å; angles 90.00, 90.00, 90.00 degrees
Positions (direct):
Hf 0.0000 0.0000 0.0000
Hf 0.0000 0.5000 0.5000
Hf 0.5000 0.0000 0.5000
Hf 0.5000 0.5000 0.0000
B 0.2500 0.2500 0.7500
B 0.2500 0.7500 0.2500
B 0.7500 0.2500 0.2500
B 0.7500 0.7500 0.7500
Sb 0.0000 0.0000 0.5000
Sb 0.0000 0.5000 0.0000
Sb 0.2500 0.2500 0.2500
Sb 0.2500 0.7500 0.7500
Sb 0.5000 0.0000 0.0000
Sb 0.5000 0.5000 0.5000
Sb 0.7500 0.2500 0.7500
Sb 0.7500 0.7500 0.2500

Peak list (12 most intense, 15 to 90 degrees two-theta, sorted by position)
2θ = 22.20°, I 20
2θ = 25.68°, I 19
2θ = 36.64°, I 100
2θ = 43.26°, I 11
2θ = 45.28°, I 6
2θ = 52.79°, I 17
2θ = 57.95°, I 5
2θ = 59.60°, I 8
2θ = 65.97°, I 35
2θ = 77.90°, I 11
2θ = 83.64°, I 4
2θ = 89.31°, I 16


# 7
HfZrSnB: computed X-ray powder pattern (Cu Kα X-rays), based on a PBE-relaxed structure.
Peak positions follow from Bragg's law for the DFT cell and can differ from measured ones.

Cell lengths 3.4585, 3.4585, 14.7880 Å; angles 90.00, 90.00, 120.00 degrees
Positions (direct):
Hf 0.0000 0.0000 0.1624
Hf 0.0000 0.0000 0.8376
Zr 0.6667 0.3333 0.3348
Zr 0.6667 0.3333 0.6652
Sn 0.0000 0.0000 0.5000
Sn 0.6667 0.3333 0.0000
B 0.3333 0.6667 0.2468
B 0.3333 0.6667 0.7532

Peak list (12 most intense, 15 to 90 degrees two-theta, sorted by position)
2θ = 18.00°, I 5
2θ = 29.83°, I 26
2θ = 35.06°, I 100
2θ = 36.45°, I 19
2θ = 47.79°, I 16
2θ = 52.95°, I 22
2θ = 64.71°, I 17
2θ = 65.10°, I 17
2θ = 65.99°, I 20
2θ = 74.08°, I 5
2θ = 88.30°, I 8
2θ = 88.65°, I 15


# 8
HfTlB2: computed X-ray powder pattern (Cu Kα X-rays), based on a PBE-relaxed structure.
Peak positions follow from Bragg's law for the DFT cell and can differ from measured ones.

Cell lengths 6.3743, 6.3743, 6.3743 Å; angles 90.00, 90.00, 90.00 degrees
Positions (direct):
Hf 0.0000 0.0000 0.0000
Hf 0.0000 0.5000 0.5000
Hf 0.5000 0.0000 0.5000
Hf 0.5000 0.5000 0.0000
Tl 0.2500 0.2500 0.7500
Tl 0.2500 0.7500 0.2500
Tl 0.7500 0.2500 0.2500
Tl 0.7500 0.7500 0.7500
B 0.0000 0.0000 0.5000
B 0.0000 0.5000 0.0000
B 0.2500 0.2500 0.2500
B 0.2500 0.7500 0.7500
B 0.5000 0.0000 0.0000
B 0.5000 0.5000 0.5000
B 0.7500 0.2500 0.7500
B 0.7500 0.7500 0.2500

Peak list (8 most intense, 15 to 90 degrees two-theta, sorted by position)
2θ = 24.18°, I 100
2θ = 40.01°, I 98
2θ = 47.30°, I 52
2θ = 57.86°, I 17
2θ = 63.63°, I 22
2θ = 72.67°, I 34
2θ = 77.87°, I 17
2θ = 86.34°, I 11


# 9
Hf3ZrTl2B2: computed X-ray powder pattern (Cu Kα X-rays), based on a PBE-relaxed structure.
Peak positions follow from Bragg's law for the DFT cell and can differ from measured ones.

Cell lengths 3.4382, 3.4382, 15.2554 Å; angles 90.00, 90.00, 120.00 degrees
Positions (direct):
Hf 0.0000 0.0000 0.0000
Hf 0.0000 0.0000 0.3325
Hf 0.3333 0.6667 0.4977
Zr 0.3333 0.6667 0.8321
Tl 0.0000 0.0000 0.6641
Tl 0.3333 0.6667 0.1662
B 0.6667 0.3333 0.4151
B 0.6667 0.3333 0.9177

Peak list (12 most intense, 15 to 90 degrees two-theta, sorted by position)
2θ = 30.01°, I 24
2θ = 34.92°, I 100
2θ = 35.30°, I 21
2θ = 46.99°, I 16
2θ = 53.29°, I 21
2θ = 62.37°, I 3
2θ = 63.11°, I 18
2θ = 65.31°, I 16
2θ = 65.55°, I 21
2θ = 73.75°, I 4
2θ = 87.13°, I 8
2θ = 89.11°, I 15


# 10
HfB4W: computed X-ray powder pattern (Cu Kα X-rays), based on a PBE-relaxed structure.
Peak positions follow from Bragg's law for the DFT cell and can differ from measured ones.

Cell lengths 3.1085, 5.3467, 6.7198 Å; angles 90.00, 90.00, 90.00 degrees
Positions (direct):
Hf 0.0000 0.0000 0.0000
Hf 0.5000 0.5000 0.5000
B 0.0000 0.3342 0.2505
B 0.0000 0.3342 0.7495
B 0.0000 0.6658 0.2505
B 0.0000 0.6658 0.7495
B 0.5000 0.1658 0.2495
B 0.5000 0.1658 0.7505
B 0.5000 0.8342 0.2495
B 0.5000 0.8342 0.7505
W 0.0000 0.0000 0.5000
W 0.5000 0.5000 0.0000

Peak list (12 most intense, 15 to 90 degrees two-theta, sorted by position)
2θ = 26.53°, I 67
2θ = 33.34°, I 84
2θ = 33.52°, I 42
2θ = 43.10°, I 100
2θ = 43.25°, I 49
2θ = 54.63°, I 13
2θ = 59.82°, I 20
2θ = 65.53°, I 25
2θ = 65.64°, I 12
2θ = 66.58°, I 22
2θ = 76.33°, I 19
2θ = 85.32°, I 15


# 11
YHf2B: computed X-ray powder pattern (Cu Kα X-rays), based on a PBE-relaxed structure.
Peak positions follow from Bragg's law for the DFT cell and can differ from measured ones.

Cell lengths 6.7561, 6.7561, 6.7561 Å; angles 90.00, 90.00, 90.00 degrees
Positions (direct):
Y 0.0000 0.0000 0.0000
Y 0.0000 0.5000 0.5000
Y 0.5000 0.0000 0.5000
Y 0.5000 0.5000 0.0000
Hf 0.0000 0.0000 0.5000
Hf 0.0000 0.5000 0.0000
Hf 0.2500 0.2500 0.2500
Hf 0.2500 0.7500 0.7500
Hf 0.5000 0.0000 0.0000
Hf 0.5000 0.5000 0.5000
Hf 0.7500 0.2500 0.7500
Hf 0.7500 0.7500 0.2500
B 0.2500 0.2500 0.7500
B 0.2500 0.7500 0.2500
B 0.7500 0.2500 0.2500
B 0.7500 0.7500 0.7500

Peak list (12 most intense, 15 to 90 degrees two-theta, sorted by position)
2θ = 22.80°, I 41
2θ = 26.38°, I 4
2θ = 37.66°, I 100
2θ = 44.48°, I 22
2θ = 46.57°, I 1
2θ = 54.31°, I 17
2θ = 59.65°, I 10
2θ = 61.37°, I 2
2θ = 67.97°, I 35
2θ = 72.73°, I 7
2θ = 80.40°, I 11
2θ = 84.92°, I 7


# 12
HgBNO: computed X-ray powder pattern (Cu Kα X-rays), based on a PBE-relaxed structure.
Peak positions follow from Bragg's law for the DFT cell and can differ from measured ones.

Cell lengths 4.3421, 7.7874, 5.7746 Å; angles 90.00, 90.00, 90.00 degrees
Positions (direct):
Hg 0.0200 0.1579 0.0000
Hg 0.4800 0.1579 0.5000
Hg 0.5200 0.8421 0.0000
Hg 0.9800 0.8421 0.5000
B 0.0537 0.5967 0.9182
B 0.4463 0.5967 0.4182
B 0.5537 0.4033 0.9182
B 0.9463 0.4033 0.4182
N 0.0076 0.7788 0.9307
N 0.4924 0.7788 0.4307
N 0.5076 0.2212 0.9307
N 0.9924 0.2212 0.4307
O 0.1418 0.5419 0.4057
O 0.3582 0.5419 0.9057
O 0.6418 0.4581 0.4057
O 0.8582 0.4581 0.9057

Peak list (12 most intense, 15 to 90 degrees two-theta, sorted by position)
2θ = 28.15°, I 89
2θ = 30.97°, I 38
2θ = 33.09°, I 14
2θ = 34.60°, I 100
2θ = 41.60°, I 15
2θ = 47.08°, I 21
2θ = 52.75°, I 14
2θ = 53.38°, I 18
2θ = 54.01°, I 13
2θ = 57.47°, I 18
2θ = 64.60°, I 18
2θ = 65.73°, I 16


# 13
NaHgB4: computed X-ray powder pattern (Cu Kα X-rays), based on a PBE-relaxed structure.
Peak positions follow from Bragg's law for the DFT cell and can differ from measured ones.

Cell lengths 3.0906, 5.2397, 8.5452 Å; angles 90.00, 90.00, 90.00 degrees
Positions (direct):
Na 0.0000 0.0000 0.0000
Na 0.5000 0.5000 0.5000
Hg 0.0000 0.0000 0.5000
Hg 0.5000 0.5000 0.0000
B 0.0000 0.3280 0.2563
B 0.0000 0.3280 0.7437
B 0.0000 0.6720 0.2563
B 0.0000 0.6720 0.7437
B 0.5000 0.1720 0.2437
B 0.5000 0.1720 0.7563
B 0.5000 0.8280 0.2437
B 0.5000 0.8280 0.7563

Peak list (12 most intense, 15 to 90 degrees two-theta, sorted by position)
2θ = 19.88°, I 100
2θ = 20.79°, I 51
2θ = 30.76°, I 36
2θ = 33.67°, I 40
2θ = 34.23°, I 19
2θ = 35.88°, I 24
2θ = 39.90°, I 66
2θ = 40.39°, I 33
2θ = 42.31°, I 16
2θ = 46.68°, I 23
2θ = 55.12°, I 21
2θ = 76.02°, I 15


# 14
Hg2BO4: computed X-ray powder pattern (Cu Kα X-rays), based on a PBE-relaxed structure.
Peak positions follow from Bragg's law for the DFT cell and can differ from measured ones.

Cell lengths 6.1095, 6.1095, 6.1095 Å; angles 120.06, 120.06, 89.90 degrees
Positions (direct):
Hg 0.0000 0.0000 0.0000
Hg 0.0000 0.0000 0.5000
Hg 0.0000 0.5000 0.0000
Hg 0.5000 0.0000 0.5000
B 0.3750 0.6250 0.7500
B 0.6250 0.3750 0.2500
O 0.2748 0.3243 0.5495
O 0.2746 0.7252 0.5495
O 0.2748 0.7254 0.9505
O 0.3243 0.2748 0.0495
O 0.6757 0.7252 0.9505
O 0.7252 0.2746 0.0495
O 0.7254 0.2748 0.4505
O 0.7252 0.6757 0.4505

Peak list (12 most intense, 15 to 90 degrees two-theta, sorted by position)
2θ = 17.79°, I 100
2θ = 34.44°, I 89
2θ = 36.02°, I 69
2θ = 41.83°, I 58
2θ = 45.79°, I 42
2θ = 55.26°, I 27
2θ = 60.65°, I 39
2θ = 63.74°, I 24
2θ = 72.53°, I 11
2θ = 72.64°, I 22
2θ = 76.39°, I 12
2θ = 86.60°, I 12